Pr2ThIr2I2: theoretical powder diffractogram (copper Kα), based on the PBE geometry in Alexandria.
Lines closer than 0.1° are merged.

Crystal structure
Cell: 5.292 5.292 16.793 Å, 90.00 90.00 90.00°
Space group I4/mmm (No. 139)
Inequivalent atoms, fractional coordinates:
Pr 0.000 0.000 0.104
Th 0.000 0.000 0.500
Ir 0.000 0.500 0.000
I 0.000 0.000 0.303

Most intense lines, 10 to 90 degrees two-theta, by angle:
- 8.396 Å, 2θ 10.5, I 100, hkl 0 0 2
- 3.742 Å, 2θ 23.8, I 22, hkl 1 1 0
- 3.418 Å, 2θ 26.1, I 18, hkl 1 1 2
- 2.836 Å, 2θ 31.5, I 82, hkl 1 0 5
- 2.795 Å, 2θ 32.0, I 25, hkl 0 0 6
- 2.646 Å, 2θ 33.9, I 77, hkl 2 0 0
- 2.524 Å, 2θ 35.6, I 24, hkl 2 0 2
- 1.935 Å, 2θ 47.0, I 55, hkl 2 1 5
- 1.871 Å, 2θ 48.7, I 28, hkl 2 2 0
- 1.418 Å, 2θ 65.9, I 22, hkl 2 0 10